Pd4PbO9: computed X-ray powder pattern (Cu Kα), based on a structure optimized by DFT (PBE).

Main lines, by angle (2θ from 10° to 80°):
two_theta, d [Å], I/Imax
20.93, 4.244, 77
27.46, 3.248, 98
28.33, 3.151, 62
29.99, 2.979, 100
30.40, 2.940, 90
42.55, 2.124, 47
43.21, 2.094, 44
47.72, 1.906, 43

a b c (Å): 6.642 6.642 4.884
angles (deg): 101.17 101.17 120.45
Positions (direct):
Pd 0.000 0.000 0.000
Pd 0.124 0.619 0.195
Pd 0.381 0.876 0.805
Pd 0.858 0.142 0.500
Pb 0.570 0.430 0.500
O 0.085 0.324 0.922
O 0.158 0.159 0.433
O 0.350 0.139 0.010
O 0.372 0.628 0.500
O 0.545 0.088 0.548
O 0.676 0.915 0.078
O 0.841 0.842 0.567
O 0.861 0.650 0.990
O 0.912 0.455 0.452